Simulated powder X-ray diffraction pattern of Tb2CeUS8 for Cu Ka, from a GGA-PBE-relaxed structure.
No peak broadening, texture or thermal motion is included.

Cell and atoms:
```
data_Tb2CeUS8
_space_group_name_H-M_alt 'P 1 2/m 1'
_space_group_IT_number 10
_space_group_name_Hall '-P 2y'
_cell_length_a 6.145
_cell_length_b 8.286
_cell_length_c 6.330
_cell_angle_alpha 90.00
_cell_angle_beta 91.03
_cell_angle_gamma 90.00
loop_
_atom_site_label
_atom_site_type_symbol
_atom_site_fract_x
_atom_site_fract_y
_atom_site_fract_z
Tb1 Tb 0.000 0.248 0.000
Ce1 Ce 0.500 0.000 0.500
U1 U 0.500 0.500 0.500
S1 S 0.228 0.000 0.167
S2 S 0.237 0.500 0.182
S3 S 0.284 0.267 0.660
```

Peak list (6 most intense, 2θ = 15–90°, low angle first)
- 19.96 deg, d 4.449, rel. 100, hkl 1 0 -1
- 20.33 deg, d 4.369, rel. 91, hkl 1 0 1
- 25.70 deg, d 3.466, rel. 63, hkl 0 2 1
- 25.94 deg, d 3.435, rel. 85, hkl 1 2 0
- 38.94 deg, d 2.313, rel. 83, hkl 2 2 -1
- 48.44 deg, d 1.879, rel. 53, hkl 0 2 3